(1)
This entry pairs a crystal structure of Pm7SmEr2 with its simulated XRD peak list. Radiation: Cu Ka. Structure: a crystal structure in Alexandria, relaxed with GGA-PBE.
Neutral-atom scattering factors, no anomalous dispersion.

Crystal structure
```
data_Pm7SmEr2
_symmetry_space_group_name_H-M 'C m m m'
_symmetry_Int_Tables_number 65
_symmetry_space_group_name_Hall '-C 2 2'
_cell_length_a 8.8781
_cell_length_b 16.2252
_cell_length_c 5.7009
_cell_angle_alpha 90.00
_cell_angle_beta 90.00
_cell_angle_gamma 90.00
loop_
_atom_site_label
_atom_site_type_symbol
_atom_site_fract_x
_atom_site_fract_y
_atom_site_fract_z
Pm1 Pm 0.0000 0.0000 0.0000
Pm2 Pm 0.0000 0.2765 0.5000
Pm3 Pm 0.1789 0.3849 0.0000
Sm1 Sm 0.0000 0.5000 0.5000
Er1 Er 0.0000 0.2046 0.0000
```

Principal peaks in the range 10° ≤ 2θ ≤ 90°, by angle:
d [Å]  Rel. int.
5.701  53
4.600  21
4.439  24
3.305  33
2.994  60
2.850  58
2.688  100
2.593  66
2.065  43
1.613  21
1.502  26
1.486  25

(2)
This entry pairs a crystal structure of RbCl5F with its simulated XRD peak list. Radiation: Cu Ka. Structure: a crystal structure in Alexandria, relaxed with GGA-PBE.
Neutral-atom scattering factors, no anomalous dispersion.

Crystal structure
```
data_RbCl5F
_symmetry_space_group_name_H-M 'C 1 2 1'
_symmetry_Int_Tables_number 5
_cell_length_a 8.4150
_cell_length_b 14.4373
_cell_length_c 4.9968
_cell_angle_alpha 90.00
_cell_angle_beta 126.17
_cell_angle_gamma 90.00
loop_
_symmetry_equiv_pos_as_xyz
'x,y,z'
'-x,y,-z'
'x+1/2,y+1/2,z'
'-x+1/2,y+1/2,-z'
loop_
_atom_site_label
_atom_site_type_symbol
_atom_site_fract_x
_atom_site_fract_y
_atom_site_fract_z
Rb1 Rb 0.0000 0.0000 0.0000
Cl1 Cl 0.0000 0.8083 0.5000
Cl2 Cl 0.1533 0.5700 0.1531
Cl3 Cl 0.1600 0.2826 0.2158
F1 F 0.0000 0.0645 0.5000
```

Principal peaks in the range 10° ≤ 2θ ≤ 90°, by angle:
d [Å]  Rel. int.
6.147  43
4.722  25
4.022  40
3.927  20
3.609  62
3.518  45
3.466  100
2.686  24
2.499  36
2.237  26
2.054  19
1.906  25